Diffraction record for PrAgGe2. The powder diffractogram is simulated, not measured: it uses the GGA-PBE geometry in Alexandria and CuKα.

Cell and atoms:
```
data_PrAgGe2
_chemical_formula_sum 'Pr8 Ag8 Ge16'
_space_group_name_H-M_alt 'P n m a'
_space_group_IT_number 62
_cell_length_a 14.176
_cell_length_b 4.391
_cell_length_c 11.288
_cell_angle_alpha 90.00
_cell_angle_beta 90.00
_cell_angle_gamma 90.00
loop_
_space_group_symop_operation_xyz
'x,y,z'
'-x,-y,-z'
'-x+1/2,-y,z+1/2'
'x+1/2,y,-z+1/2'
'x+1/2,-y+1/2,-z+1/2'
'-x+1/2,y+1/2,z+1/2'
'-x,y+1/2,-z'
'x,-y+1/2,z'
loop_
_atom_site_label
_atom_site_fract_x
_atom_site_fract_y
_atom_site_fract_z
_atom_site_occupancy
Pr1 0.048 0.250 0.247 1
Pr2 0.202 0.750 0.963 1
Ag1 0.058 0.250 0.545 1
Ag2 0.207 0.750 0.668 1
Ge1 0.041 0.250 0.974 1
Ge2 0.111 0.250 0.770 1
Ge3 0.133 0.750 0.452 1
Ge4 0.205 0.750 0.250 1
```

Principal peaks in the range 2θ = 10–80°, by intensity:
2θ (°)  I/Imax
32.47  100
33.82  43
41.11  39
62.80  34
31.71  24
45.32  24
46.02  22
31.95  20
39.81  12
52.83  11